Simulated powder diffractogram
Compound: CsRb2VF6
Radiation: Cu Kα (weighted mean of Kα1 and Kα2)
Structure: DFT lattice parameters and positions (PBE+U)
Intensities are scaled so that the largest is 100.

Largest 10 diffraction maxima, sorted by position, 10 to 90 degrees two-theta:
| 2θ (°) | Rel. int. |
| --- | --- |
| 26.51 | 100 |
| 31.19 | 9 |
| 37.83 | 37 |
| 41.38 | 9 |
| 46.79 | 37 |
| 54.58 | 21 |
| 61.68 | 22 |
| 68.32 | 6 |
| 74.68 | 23 |
| 86.90 | 10 |

```
10
Lattice="0.0000 4.7558 4.7558 4.7558 0.0000 4.7558 4.7558 4.7558 0.0000" Properties=species:S:1:pos:R:3 pbc="T T T"
Cs 0.0000 0.0000 0.0000
Rb 2.3779 2.3779 2.3779
Rb 7.1337 7.1337 7.1337
V 4.7558 4.7558 4.7558
F 4.7558 4.7558 2.7939
F 4.7558 2.7939 4.7558
F 6.7178 4.7558 4.7558
F 2.7939 4.7558 4.7558
F 4.7558 6.7178 4.7558
F 4.7558 4.7558 6.7178
```